1.
The following is a computed powder diffraction line list of KPdAuSeS2. It was derived from a crystal structure in OQMD, relaxed with PBE, using Cu Kα X-rays.
Kinematic intensities with the Lorentz-polarization factor, no thermal factor.

Peak list (12 most intense, 2θ from 10° to 90°, sorted by position)
2θ 11.02, d = 8.032 Å, I = 100
2θ 13.98, d = 6.334 Å, I = 54
2θ 28.20, d = 3.164 Å, I = 23
2θ 30.01, d = 2.978 Å, I = 40
2θ 31.27, d = 2.860 Å, I = 71
2θ 34.62, d = 2.591 Å, I = 25
2θ 34.84, d = 2.575 Å, I = 38
2θ 37.61, d = 2.392 Å, I = 30
2θ 40.09, d = 2.249 Å, I = 27
2θ 46.64, d = 1.948 Å, I = 23
2θ 52.20, d = 1.752 Å, I = 22
2θ 54.15, d = 1.694 Å, I = 20

Cell and atoms:
```
data_KPdAuSeS2
_chemical_formula_sum 'K4 Pd4 Au4 Se4 S8'
_cell_length_a 3.5826
_cell_length_b 16.0635
_cell_length_c 10.2993
_cell_angle_alpha 90.00
_cell_angle_beta 90.00
_cell_angle_gamma 90.00
_space_group_name_H-M_alt 'C m c m'
_space_group_IT_number 63
_space_group_name_Hall '-C 2c 2'
loop_
_atom_site_label
_atom_site_type_symbol
_atom_site_fract_x
_atom_site_fract_y
_atom_site_fract_z
K1 K 0.0000 0.2194 0.2500
Pd1 Pd 0.0000 0.5000 0.0000
Au1 Au 0.0000 0.1075 0.7500
Se1 Se 0.0000 0.4513 0.7500
S1 S 0.0000 0.1006 0.5245
```



2.
The following is a computed powder diffraction line list of Ta4CuSnC2. It was derived from a crystal structure in OQMD, relaxed with PBE, using Cu Kα X-rays.
Kinematic intensities with the Lorentz-polarization factor, no thermal factor.

Peak list (12 most intense, 2θ from 10° to 90°, sorted by position)
2θ 13.02, d = 6.799 Å, I = 9
2θ 32.50, d = 2.755 Å, I = 25
2θ 33.18, d = 2.700 Å, I = 6
2θ 35.15, d = 2.553 Å, I = 4
2θ 38.23, d = 2.354 Å, I = 100
2θ 39.77, d = 2.266 Å, I = 17
2θ 52.27, d = 1.750 Å, I = 13
2θ 57.98, d = 1.591 Å, I = 22
2θ 64.41, d = 1.447 Å, I = 5
2θ 71.17, d = 1.325 Å, I = 12
2θ 71.59, d = 1.318 Å, I = 16
2θ 72.62, d = 1.302 Å, I = 18

Cell and atoms:
```
data_Ta4CuSnC2
_chemical_formula_sum 'Ta4 Cu1 Sn1 C2'
_cell_length_a 3.1813
_cell_length_b 3.1813
_cell_length_c 13.5981
_cell_angle_alpha 90.00
_cell_angle_beta 90.00
_cell_angle_gamma 120.00
_space_group_name_H-M_alt 'P -6 m 2'
_space_group_IT_number 187
_space_group_name_Hall 'P -6 2'
loop_
_atom_site_label
_atom_site_type_symbol
_atom_site_fract_x
_atom_site_fract_y
_atom_site_fract_z
Ta1 Ta 0.0000 0.0000 0.1512
Ta2 Ta 0.6667 0.3333 0.3264
Cu1 Cu 0.6667 0.3333 0.0000
Sn1 Sn 0.0000 0.0000 0.5000
C1 C 0.3333 0.6667 0.2377
```



3.
The following is a computed powder diffraction line list of La2TbSn5Pb2. It was derived from a crystal structure in OQMD, relaxed with PBE, using Cu Kα X-rays.
Kinematic intensities with the Lorentz-polarization factor, no thermal factor.

Peak list (12 most intense, 2θ from 10° to 90°, sorted by position)
2θ 31.97, d = 2.799 Å, I = 100
2θ 34.23, d = 2.620 Å, I = 17
2θ 38.31, d = 2.350 Å, I = 17
2θ 38.58, d = 2.333 Å, I = 16
2θ 52.30, d = 1.749 Å, I = 10
2θ 52.52, d = 1.742 Å, I = 10
2θ 55.50, d = 1.656 Å, I = 12
2θ 59.87, d = 1.545 Å, I = 9
2θ 65.31, d = 1.429 Å, I = 13
2θ 65.69, d = 1.421 Å, I = 13
2θ 66.84, d = 1.400 Å, I = 10
2θ 85.90, d = 1.131 Å, I = 4

Cell and atoms:
```
data_La2TbSn5Pb2
_chemical_formula_sum 'La4 Tb2 Sn10 Pb4'
_cell_length_a 4.6669
_cell_length_b 26.1982
_cell_length_c 4.6995
_cell_angle_alpha 90.00
_cell_angle_beta 90.00
_cell_angle_gamma 90.00
_space_group_name_H-M_alt 'C m m m'
_space_group_IT_number 65
_space_group_name_Hall '-C 2 2'
loop_
_atom_site_label
_atom_site_type_symbol
_atom_site_fract_x
_atom_site_fract_y
_atom_site_fract_z
La1 La 0.0000 0.1865 0.0000
Tb1 Tb 0.0000 0.0000 0.0000
Sn1 Sn 0.0000 0.0940 0.5000
Sn2 Sn 0.0000 0.2890 0.5000
Sn3 Sn 0.0000 0.5000 0.5000
Pb1 Pb 0.0000 0.4066 0.0000
```



4.
The following is a computed powder diffraction line list of Pr2Nd2Br5N2. It was derived from a crystal structure in OQMD, relaxed with PBE, using Cu Kα X-rays.
Kinematic intensities with the Lorentz-polarization factor, no thermal factor.

Peak list (12 most intense, 2θ from 10° to 90°, sorted by position)
2θ 10.93, d = 8.093 Å, I = 36
2θ 28.46, d = 3.136 Å, I = 30
2θ 29.05, d = 3.074 Å, I = 73
2θ 31.33, d = 2.855 Å, I = 23
2θ 31.95, d = 2.801 Å, I = 100
2θ 33.82, d = 2.650 Å, I = 16
2θ 37.09, d = 2.424 Å, I = 15
2θ 43.05, d = 2.101 Å, I = 36
2θ 44.39, d = 2.041 Å, I = 40
2θ 48.32, d = 1.884 Å, I = 19
2θ 57.37, d = 1.606 Å, I = 21
2θ 60.24, d = 1.536 Å, I = 16

Cell and atoms:
```
data_Pr2Nd2Br5N2
_chemical_formula_sum 'Pr4 Nd4 Br10 N4'
_cell_length_a 19.1106
_cell_length_b 3.7672
_cell_length_c 8.3851
_cell_angle_alpha 90.00
_cell_angle_beta 105.17
_cell_angle_gamma 90.00
_space_group_name_H-M_alt 'C 1 2/m 1'
_space_group_IT_number 12
_space_group_name_Hall '-C 2y'
loop_
_atom_site_label
_atom_site_type_symbol
_atom_site_fract_x
_atom_site_fract_y
_atom_site_fract_z
Pr1 Pr 0.9999 0.0000 0.1974
Nd1 Nd 0.1614 0.5000 0.1035
Br1 Br 0.0000 0.5000 0.5000
Br2 Br 0.1604 0.0000 0.3800
Br3 Br 0.1694 0.0000 0.8223
N1 N 0.0373 0.5000 0.0229
```



5.
The following is a computed powder diffraction line list of DyHoAlNi2. It was derived from a crystal structure in OQMD, relaxed with PBE, using Cu Kα X-rays.
Kinematic intensities with the Lorentz-polarization factor, no thermal factor.

Peak list (12 most intense, 2θ from 10° to 90°, sorted by position)
2θ 27.12, d = 3.288 Å, I = 78
2θ 33.39, d = 2.683 Å, I = 14
2θ 34.88, d = 2.573 Å, I = 100
2θ 36.68, d = 2.450 Å, I = 30
2θ 39.23, d = 2.296 Å, I = 46
2θ 40.07, d = 2.250 Å, I = 48
2θ 41.51, d = 2.175 Å, I = 39
2θ 43.51, d = 2.080 Å, I = 32
2θ 55.94, d = 1.644 Å, I = 22
2θ 58.18, d = 1.586 Å, I = 16
2θ 60.63, d = 1.527 Å, I = 42
2θ 70.67, d = 1.333 Å, I = 29

Cell and atoms:
```
data_DyHoAlNi2
_chemical_formula_sum 'Dy2 Ho2 Al2 Ni4'
_cell_length_a 4.1601
_cell_length_b 5.3669
_cell_length_c 8.2621
_cell_angle_alpha 90.00
_cell_angle_beta 90.00
_cell_angle_gamma 90.00
_space_group_name_H-M_alt 'I m m 2'
_space_group_IT_number 44
_space_group_name_Hall 'I 2 -2'
loop_
_atom_site_label
_atom_site_type_symbol
_atom_site_fract_x
_atom_site_fract_y
_atom_site_fract_z
Dy1 Dy 0.0000 0.0000 0.0000
Ho1 Ho 0.0000 0.0000 0.4079
Al1 Al 0.0000 0.5000 0.2039
Ni1 Ni 0.0000 0.2669 0.7039
```



6.
The following is a computed powder diffraction line list of LiMgIr2. It was derived from a crystal structure in OQMD, relaxed with PBE, using Cu Kα X-rays.
Kinematic intensities with the Lorentz-polarization factor, no thermal factor.

Peak list (12 most intense, 2θ from 10° to 90°, sorted by position)
2θ 20.58, d = 4.316 Å, I = 100
2θ 37.24, d = 2.415 Å, I = 49
2θ 38.16, d = 2.358 Å, I = 25
2θ 41.86, d = 2.158 Å, I = 23
2θ 42.92, d = 2.107 Å, I = 81
2θ 43.74, d = 2.070 Å, I = 36
2θ 57.25, d = 1.609 Å, I = 29
2θ 57.92, d = 1.592 Å, I = 15
2θ 72.24, d = 1.308 Å, I = 14
2θ 77.18, d = 1.236 Å, I = 15
2θ 83.06, d = 1.163 Å, I = 12
2θ 83.48, d = 1.158 Å, I = 12

Cell and atoms:
```
data_LiMgIr2
_chemical_formula_sum 'Li2 Mg2 Ir4'
_cell_length_a 2.8109
_cell_length_b 8.6328
_cell_length_c 4.7170
_cell_angle_alpha 90.00
_cell_angle_beta 90.00
_cell_angle_gamma 90.00
_space_group_name_H-M_alt 'I m m 2'
_space_group_IT_number 44
_space_group_name_Hall 'I 2 -2'
loop_
_atom_site_label
_atom_site_type_symbol
_atom_site_fract_x
_atom_site_fract_y
_atom_site_fract_z
Li1 Li 0.0000 0.0000 0.0000
Mg1 Mg 0.0000 0.5000 0.0080
Ir1 Ir 0.0000 0.2515 0.6459
```



7.
The following is a computed powder diffraction line list of CuAg3. It was derived from a crystal structure in OQMD, relaxed with PBE, using Cu Kα X-rays.
Kinematic intensities with the Lorentz-polarization factor, no thermal factor.

Peak list (12 most intense, 2θ from 10° to 90°, sorted by position)
2θ 38.56, d = 2.335 Å, I = 100
2θ 38.77, d = 2.323 Å, I = 33
2θ 44.81, d = 2.023 Å, I = 43
2θ 45.06, d = 2.012 Å, I = 21
2θ 65.02, d = 1.434 Å, I = 6
2θ 65.32, d = 1.429 Å, I = 13
2θ 65.50, d = 1.425 Å, I = 19
2θ 78.30, d = 1.221 Å, I = 15
2θ 78.49, d = 1.219 Å, I = 8
2θ 78.72, d = 1.216 Å, I = 19
2θ 79.00, d = 1.212 Å, I = 4
2θ 82.60, d = 1.168 Å, I = 6

Cell and atoms:
```
data_CuAg3
_chemical_formula_sum 'Cu2 Ag6'
_cell_length_a 4.9230
_cell_length_b 5.7378
_cell_length_c 4.9421
_cell_angle_alpha 90.00
_cell_angle_beta 109.34
_cell_angle_gamma 90.00
_space_group_name_H-M_alt 'P 1 2/c 1'
_space_group_IT_number 13
_space_group_name_Hall '-P 2yc'
loop_
_atom_site_label
_atom_site_type_symbol
_atom_site_fract_x
_atom_site_fract_y
_atom_site_fract_z
Cu1 Cu 0.0000 0.1188 0.2500
Ag1 Ag 0.0000 0.3652 0.7500
Ag2 Ag 0.5000 0.1189 0.7500
Ag3 Ag 0.5000 0.3707 0.2500
```



8.
The following is a computed powder diffraction line list of Cu7Ag3. It was derived from a crystal structure in OQMD, relaxed with PBE, using Cu Kα X-rays.
Kinematic intensities with the Lorentz-polarization factor, no thermal factor.

Peak list (12 most intense, 2θ from 10° to 90°, sorted by position)
2θ 23.50, d = 3.785 Å, I = 3
2θ 23.78, d = 3.742 Å, I = 2
2θ 33.34, d = 2.688 Å, I = 2
2θ 33.68, d = 2.661 Å, I = 2
2θ 41.19, d = 2.191 Å, I = 100
2θ 47.65, d = 1.909 Å, I = 16
2θ 48.08, d = 1.892 Å, I = 31
2θ 70.01, d = 1.344 Å, I = 19
2θ 70.35, d = 1.338 Å, I = 9
2θ 84.27, d = 1.149 Å, I = 11
2θ 84.91, d = 1.142 Å, I = 21
2θ 89.43, d = 1.096 Å, I = 9

Cell and atoms:
```
data_Cu7Ag3
_chemical_formula_sum 'Cu14 Ag6'
_cell_length_a 3.8172
_cell_length_b 18.9233
_cell_length_c 3.7853
_cell_angle_alpha 90.00
_cell_angle_beta 90.00
_cell_angle_gamma 90.00
_space_group_name_H-M_alt 'C m m m'
_space_group_IT_number 65
_space_group_name_Hall '-C 2 2'
loop_
_atom_site_label
_atom_site_type_symbol
_atom_site_fract_x
_atom_site_fract_y
_atom_site_fract_z
Cu1 Cu 0.0000 0.0000 0.0000
Cu2 Cu 0.0000 0.0982 0.5000
Cu3 Cu 0.0000 0.1949 0.0000
Cu4 Cu 0.0000 0.4020 0.0000
Ag1 Ag 0.0000 0.3035 0.5000
Ag2 Ag 0.0000 0.5000 0.5000
```



9.
The following is a computed powder diffraction line list of TaCdB. It was derived from a crystal structure in OQMD, relaxed with PBE, using Cu Kα X-rays.
Kinematic intensities with the Lorentz-polarization factor, no thermal factor.

Peak list (10 most intense, 2θ from 10° to 90°, sorted by position)
2θ 25.67, d = 3.471 Å, I = 100
2θ 29.72, d = 3.006 Å, I = 3
2θ 42.53, d = 2.125 Å, I = 82
2θ 50.34, d = 1.813 Å, I = 49
2θ 52.75, d = 1.735 Å, I = 1
2θ 61.72, d = 1.503 Å, I = 13
2θ 67.97, d = 1.379 Å, I = 20
2θ 69.99, d = 1.344 Å, I = 2
2θ 77.84, d = 1.227 Å, I = 27
2θ 83.57, d = 1.157 Å, I = 15

Cell and atoms:
```
data_TaCdB
_chemical_formula_sum 'Ta4 Cd4 B4'
_cell_length_a 6.0118
_cell_length_b 6.0118
_cell_length_c 6.0118
_cell_angle_alpha 90.00
_cell_angle_beta 90.00
_cell_angle_gamma 90.00
_space_group_name_H-M_alt 'F -4 3 m'
_space_group_IT_number 216
_space_group_name_Hall 'F -4 2 3'
loop_
_atom_site_label
_atom_site_type_symbol
_atom_site_fract_x
_atom_site_fract_y
_atom_site_fract_z
Ta1 Ta 0.0000 0.0000 0.0000
Cd1 Cd 0.2500 0.2500 0.2500
B1 B 0.2500 0.2500 0.7500
```



10.
The following is a computed powder diffraction line list of GdHoBiO2. It was derived from a crystal structure in OQMD, relaxed with PBE, using Cu Kα X-rays.
Kinematic intensities with the Lorentz-polarization factor, no thermal factor.

Peak list (12 most intense, 2θ from 10° to 90°, sorted by position)
2θ 30.46, d = 2.934 Å, I = 100
2θ 32.66, d = 2.742 Å, I = 36
2θ 40.18, d = 2.244 Å, I = 11
2θ 46.86, d = 1.939 Å, I = 17
2θ 52.71, d = 1.737 Å, I = 24
2θ 56.92, d = 1.618 Å, I = 35
2θ 63.40, d = 1.467 Å, I = 11
2θ 67.05, d = 1.396 Å, I = 11
2θ 76.73, d = 1.242 Å, I = 7
2θ 77.91, d = 1.226 Å, I = 7
2θ 82.44, d = 1.170 Å, I = 6
2θ 85.77, d = 1.133 Å, I = 11

Cell and atoms:
```
data_GdHoBiO2
_chemical_formula_sum 'Gd2 Ho2 Bi2 O4'
_cell_length_a 3.8777
_cell_length_b 3.8777
_cell_length_c 13.4649
_cell_angle_alpha 90.00
_cell_angle_beta 90.00
_cell_angle_gamma 90.00
_space_group_name_H-M_alt 'I 4 m m'
_space_group_IT_number 107
_space_group_name_Hall 'I 4 -2'
loop_
_atom_site_label
_atom_site_type_symbol
_atom_site_fract_x
_atom_site_fract_y
_atom_site_fract_z
Gd1 Gd 0.0000 0.0000 0.0000
Ho1 Ho 0.0000 0.0000 0.3341
Bi1 Bi 0.0000 0.0000 0.6666
O1 O 0.0000 0.5000 0.4141
```



11.
The following is a computed powder diffraction line list of Na2ZnReO4. It was derived from a crystal structure in OQMD, relaxed with PBE, using Cu Kα X-rays.
Kinematic intensities with the Lorentz-polarization factor, no thermal factor.

Peak list (12 most intense, 2θ from 10° to 90°, sorted by position)
2θ 19.77, d = 4.491 Å, I = 100
2θ 20.01, d = 4.438 Å, I = 71
2θ 21.69, d = 4.098 Å, I = 40
2θ 23.32, d = 3.815 Å, I = 29
2θ 28.74, d = 3.107 Å, I = 44
2θ 31.79, d = 2.814 Å, I = 31
2θ 32.53, d = 2.753 Å, I = 56
2θ 34.58, d = 2.594 Å, I = 52
2θ 34.69, d = 2.586 Å, I = 55
2θ 36.31, d = 2.474 Å, I = 36
2θ 48.90, d = 1.863 Å, I = 31
2θ 54.78, d = 1.676 Å, I = 31

Cell and atoms:
```
data_Na2ZnReO4
_chemical_formula_sum 'Na4 Zn2 Re2 O8'
_cell_length_a 5.2071
_cell_length_b 5.6290
_cell_length_c 8.7419
_cell_angle_alpha 90.00
_cell_angle_beta 121.54
_cell_angle_gamma 90.00
_space_group_name_H-M_alt 'P 1 c 1'
_space_group_IT_number 7
_space_group_name_Hall 'P -2yc'
loop_
_atom_site_label
_atom_site_type_symbol
_atom_site_fract_x
_atom_site_fract_y
_atom_site_fract_z
Na1 Na 0.0000 0.1838 0.0000
Na2 Na 0.7597 0.3071 0.2561
Zn1 Zn 0.2945 0.3150 0.7337
Re1 Re 0.4945 0.1686 0.4882
O1 O 0.2261 0.3318 0.2822
O2 O 0.4175 0.1552 0.9731
O3 O 0.6742 0.3105 0.7271
O4 O 0.9058 0.2082 0.5422
```